1.
# Cd3In
Calculated XRD peak list, Cu Ka. Input: a cell relaxed with PBE.
Kinematic intensities with the Lorentz-polarization factor, no thermal factor.

Lattice parameters (Å, degrees): 4.5950 4.5950 4.5950 90.00 90.00 90.00
Space group Pm-3m (No. 221)
Inequivalent atoms, fractional coordinates:
Cd1 0.0000 0.0000 0.5000 x3
In1 0.5000 0.5000 0.5000 x1

Principal peaks in the range 2θ from 10° to 90°, sorted by position:
33.79 deg, d = 2.653 Å, I 100, hkl 1 1 1
39.21 deg, d = 2.298 Å, I 49, hkl 2 0 0
56.66 deg, d = 1.625 Å, I 32, hkl 2 2 0
67.62 deg, d = 1.385 Å, I 37, hkl 3 1 1
71.07 deg, d = 1.326 Å, I 11, hkl 2 2 2
84.30 deg, d = 1.149 Å, I 5, hkl 4 0 0

---

2.
# YMn2
Calculated XRD peak list, Cu Ka. Input: a cell relaxed with PBE.
Kinematic intensities with the Lorentz-polarization factor, no thermal factor.

Lattice parameters (Å, degrees): 5.1456 8.8829 8.3150 90.00 90.00 90.00
Space group Cmcm (No. 63)
Inequivalent atoms, fractional coordinates:
Y1 0.0000 0.1667 0.0629 x8
Mn1 0.0000 0.3323 0.7500 x4
Mn2 0.0000 0.5000 0.0000 x4
Mn3 0.2488 0.0839 0.7500 x8

Principal peaks in the range 2θ from 10° to 90°, sorted by position:
34.93 deg, d = 2.569 Å, I 46, hkl 2 0 0
38.26 deg, d = 2.352 Å, I 83, hkl 1 1 3
41.32 deg, d = 2.185 Å, I 100, hkl 2 0 2
42.01 deg, d = 2.151 Å, I 47, hkl 2 2 1
42.12 deg, d = 2.146 Å, I 23, hkl 0 4 1
43.54 deg, d = 2.079 Å, I 12, hkl 0 0 4
64.82 deg, d = 1.438 Å, I 21, hkl 3 1 3
66.94 deg, d = 1.398 Å, I 15, hkl 3 3 2
70.73 deg, d = 1.332 Å, I 27, hkl 2 2 5
73.85 deg, d = 1.283 Å, I 15, hkl 2 6 0